Computed powder X-ray diffraction pattern
Compound: Li12Cd17
Radiation: Cu Kα (weighted mean of Kα1 and Kα2)
Structure: a cell relaxed with GGA-PBE
No peak broadening, texture or thermal motion is included.

Structural model:
```
data_Li12Cd17
_chemical_formula_sum 'Li24 Cd34'
_cell_length_a 10.395
_cell_length_b 10.395
_cell_length_c 10.395
_cell_angle_alpha 90.00
_cell_angle_beta 90.00
_cell_angle_gamma 90.00
_space_group_name_H-M_alt 'I -4 3 m'
_space_group_IT_number 217
_space_group_name_Hall 'I -4 2 3'
loop_
_atom_site_label
_atom_site_type_symbol
_atom_site_fract_x
_atom_site_fract_y
_atom_site_fract_z
_atom_site_occupancy
Li1 Li 0.091 0.091 0.282 1
Cd1 Cd 0.000 0.000 0.000 1
Cd2 Cd 0.048 0.360 0.360 1
Cd3 Cd 0.172 0.172 0.828 1
```

Main lines, sorted by position (2θ = 10–90°):
d 4.244, I = 43; d 2.599, I = 9; d 2.450, I = 100; d 2.122, I = 11; d 1.733, I = 13; d 1.415, I = 22